Computed powder diffraction line list of ThSi2NiRh for Cu Kα X-rays, from a GGA-PBE-relaxed structure.

Top 6 peaks for 10° ≤ 2θ ≤ 90°, low angle first:
23.42°, I 63.3
34.86°, I 48.6
35.81°, I 100.0
44.03°, I 36.5
57.35°, I 23.7
75.59°, I 22.6

Structural model:
```
ThSi2NiRh
1.0
-2.057 2.057 4.949
2.057 -2.057 4.949
2.057 2.057 -4.949
Th Si Ni Rh
1 2 1 1
direct
0.000 0.000 0.000
0.376 0.376 0.000
0.624 0.624 0.000
0.250 0.750 0.500
0.750 0.250 0.500
```

---

Computed powder diffraction line list of Ac3Pr2Mg3 for Cu Kα X-rays, from a GGA-PBE-relaxed structure.

Top 6 peaks for 10° ≤ 2θ ≤ 90°, low angle first:
18.80°, I 24.3
22.30°, I 26.6
24.05°, I 32.3
29.97°, I 24.0
30.49°, I 26.5
30.76°, I 100.0

Structural model:
```
Ac3Pr2Mg3
1.0
-2.022 2.932 11.927
2.022 -2.932 11.927
2.022 2.932 -11.927
Ac Pr Mg
3 2 3
direct
0.000 0.000 0.000
0.376 0.876 0.500
0.624 0.124 0.500
0.236 0.236 0.000
0.764 0.764 0.000
0.122 0.622 0.500
0.500 0.500 0.000
0.878 0.378 0.500
```

---

Computed powder diffraction line list of Zn2FeS3 for Cu Kα X-rays, from a GGA-PBE-relaxed structure.

Top 6 peaks for 10° ≤ 2θ ≤ 90°, low angle first:
28.38°, I 33.1
28.59°, I 100.0
33.07°, I 14.0
47.34°, I 41.0
47.61°, I 40.1
56.36°, I 26.0

Structural model:
```
Zn2FeS3
1.0
3.820 0.000 0.000
-1.910 3.308 0.000
0.000 0.000 9.434
Zn Fe S
2 1 3
direct
0.000 0.000 0.000
0.333 0.667 0.665
0.667 0.333 0.331
0.000 0.000 0.250
0.333 0.667 0.915
0.667 0.333 0.578
```

---

Computed powder diffraction line list of KPu2PO8 for Cu Kα X-rays, from a GGA-PBE-relaxed structure.

Top 6 peaks for 10° ≤ 2θ ≤ 90°, low angle first:
17.58°, I 100.0
23.00°, I 58.3
26.80°, I 40.6
30.30°, I 46.9
32.54°, I 31.6
35.60°, I 25.4

Structural model:
```
KPu2PO8
1.0
3.893 -3.326 0.000
3.893 3.326 0.000
-0.791 0.000 6.893
K Pu P O
1 2 1 8
direct
0.000 0.000 0.000
0.486 0.486 0.737
0.514 0.514 0.263
0.000 0.000 0.500
0.156 0.814 0.331
0.186 0.844 0.669
0.321 0.321 0.509
0.344 0.344 0.037
0.656 0.656 0.963
0.679 0.679 0.491
0.814 0.156 0.331
0.844 0.186 0.669
```